# CsMgIn
Simulated X-ray powder pattern, Cu Kα. Input: a DFT-relaxed cell (GGA-PBE, Alexandria).
Peak positions follow from Bragg's law for the DFT cell and can differ from measured ones.

Cell and atoms:
abc: 4.9617 4.9617 13.5302
angles: 99.69 99.69 60.01
Atoms (fractional coordinates):
1 Cs 0.2390 0.2390 0.1914
2 Cs 0.7610 0.7610 0.8086
3 Mg 0.3464 0.3464 0.5425
4 Mg 0.6536 0.6536 0.4575
5 In 0.0358 0.0358 0.6170
6 In 0.9642 0.9642 0.3830

Main lines, by angle (15° ≤ 2θ ≤ 90°):
d/Å  Rel. int.
4.271  736
3.958  846
3.919  334
3.768  371
3.443  383
2.934  391
2.793  293
2.756  606
2.654  265
2.481  1000